# Li5VF8
Theoretical powder diffractogram, Cu Ka. Input: a crystal structure in the Materials Project, relaxed with PBE+U.

Structure:
```
data_Li5VF8
_cell_length_a 5.8201
_cell_length_b 8.5521
_cell_length_c 5.9631
_cell_angle_alpha 90.00
_cell_angle_beta 90.00
_cell_angle_gamma 90.00
_space_group_name_H-M_alt 'C m m m'
_space_group_IT_number 65
_space_group_name_Hall '-C 2 2'
loop_
_atom_site_label
_atom_site_type_symbol
_atom_site_fract_x
_atom_site_fract_y
_atom_site_fract_z
Li1 Li 0.0000 0.0000 0.0000
Li2 Li 0.2500 0.2500 0.2284
V1 V 0.0000 0.0000 0.5000
F1 F 0.0000 0.2314 0.0000
F2 F 0.0000 0.2354 0.5000
F3 F 0.2267 0.0000 0.2599
```

Top 10 peaks for 5 to 70 degrees two-theta, by angle:
14.9°, d 5.963, rel. 31, hkl 0 0 1
18.4°, d 4.812, rel. 100, hkl 1 1 0
23.8°, d 3.745, rel. 37, hkl 1 1 1
25.6°, d 3.475, rel. 21, hkl 0 2 1
35.4°, d 2.534, rel. 17, hkl 1 1 2
36.7°, d 2.446, rel. 18, hkl 0 2 2
37.4°, d 2.406, rel. 15, hkl 2 2 0
42.3°, d 2.138, rel. 45, hkl 0 4 0
43.5°, d 2.083, rel. 84, hkl 2 0 2
62.2°, d 1.492, rel. 55, hkl 0 0 4


# VPO7
Theoretical powder diffractogram, Cu Ka. Input: a crystal structure in the Materials Project, relaxed with PBE+U.

Structure:
```
data_VPO7
_cell_length_a 5.8680
_cell_length_b 7.7525
_cell_length_c 12.5380
_cell_angle_alpha 89.74
_cell_angle_beta 78.04
_cell_angle_gamma 88.54
_space_group_name_H-M_alt 'P -1'
_space_group_IT_number 2
loop_
_space_group_symop_operation_xyz
'x,y,z'
'-x,-y,-z'
loop_
_atom_site_label
_atom_site_type_symbol
_atom_site_fract_x
_atom_site_fract_y
_atom_site_fract_z
V1 V 0.0097 0.2565 0.3643
V2 V 0.4662 0.7572 0.1326
P1 P 0.2424 0.3425 0.1117
P2 P 0.2672 0.8488 0.3891
O1 O 0.0166 0.2924 0.0763
O2 O 0.1022 0.7387 0.4754
O3 O 0.1278 0.5561 0.6543
O4 O 0.1559 0.8744 0.1138
O5 O 0.1954 0.8677 0.6743
O6 O 0.2027 0.0403 0.3962
O7 O 0.2435 0.2617 0.2269
O8 O 0.2510 0.7723 0.2751
O9 O 0.2754 0.5365 0.1110
O10 O 0.3057 0.3837 0.3876
O11 O 0.3294 0.3873 0.8353
O12 O 0.3873 0.0654 0.8547
O13 O 0.4380 0.2455 0.0287
O14 O 0.4892 0.1915 0.5878
```

Top 10 peaks for 5 to 70 degrees two-theta, by angle:
13.5°, d 6.552, rel. 12, hkl 0 1 1
15.6°, d 5.668, rel. 100, hkl 1 0 1
18.4°, d 4.809, rel. 20, hkl 0 1 2
19.2°, d 4.629, rel. 49, hkl 1 1 1
19.6°, d 4.523, rel. 49, hkl 1 -1 1
23.0°, d 3.875, rel. 39, hkl 0 2 0
29.1°, d 3.066, rel. 40, hkl 0 0 4
29.3°, d 3.045, rel. 24, hkl 1 0 -3
31.4°, d 2.850, rel. 16, hkl 1 1 -3
31.8°, d 2.818, rel. 13, hkl -1 1 3


# NaSrSmFeO6
Theoretical powder diffractogram, Cu Ka. Input: a crystal structure in the Materials Project, relaxed with PBE+U.

Structure:
```
data_NaSrSmFeO6
_cell_length_a 8.2254
_cell_length_b 8.2254
_cell_length_c 8.2254
_cell_angle_alpha 90.00
_cell_angle_beta 90.00
_cell_angle_gamma 90.00
_space_group_name_H-M_alt 'F -4 3 m'
_space_group_IT_number 216
_space_group_name_Hall 'F -4 2 3'
loop_
_atom_site_label
_atom_site_type_symbol
_atom_site_fract_x
_atom_site_fract_y
_atom_site_fract_z
Na1 Na 0.0000 0.0000 0.0000
Sr1 Sr 0.0000 0.0000 0.5000
Sm1 Sm 0.2500 0.2500 0.7500
Fe1 Fe 0.2500 0.2500 0.2500
O1 O 0.0238 0.2500 0.2500
```

Top 10 peaks for 5 to 70 degrees two-theta, by angle:
18.7°, d 4.749, rel. 25, hkl 1 1 1
21.6°, d 4.113, rel. 26, hkl 2 0 0
30.7°, d 2.908, rel. 100, hkl 2 2 0
36.2°, d 2.480, rel. 20, hkl 3 1 1
44.0°, d 2.056, rel. 36, hkl 4 0 0
48.2°, d 1.887, rel. 11, hkl 3 3 1
49.6°, d 1.839, rel. 9, hkl 4 2 0
54.7°, d 1.679, rel. 38, hkl 4 2 2
58.3°, d 1.583, rel. 6, hkl 3 3 3
64.0°, d 1.454, rel. 21, hkl 4 4 0